This entry pairs a crystal structure of PrSnC2 with its theoretical PXRD pattern. Radiation: CuKα. Structure: the GGA-PBE geometry in OQMD.
No peak broadening, texture or thermal motion is included.

Top 10 peaks for 10° ≤ 2θ ≤ 80°, sorted by position:
2θ 23.89, intensity 262
2θ 26.47, intensity 812
2θ 26.67, intensity 579
2θ 30.91, intensity 397
2θ 31.15, intensity 1000
2θ 31.45, intensity 759
2θ 32.83, intensity 515
2θ 37.21, intensity 222
2θ 37.77, intensity 499
2θ 48.14, intensity 418

Structure:
```
data_PrSnC2
_space_group_name_H-M_alt 'C 1 c 1'
_space_group_IT_number 9
_space_group_name_Hall 'C -2yc'
_cell_length_a 5.978
_cell_length_b 4.881
_cell_length_c 11.274
_cell_angle_alpha 90.00
_cell_angle_beta 104.54
_cell_angle_gamma 90.00
loop_
_atom_site_label
_atom_site_type_symbol
_atom_site_fract_x
_atom_site_fract_y
_atom_site_fract_z
_atom_site_occupancy
Pr1 Pr 0.000 0.145 0.000 1
Sn1 Sn 0.382 0.127 0.774 1
C1 C 0.152 0.343 0.591 1
C2 C 0.436 0.135 0.095 1
```